NaLiThBr6: theoretical XRD peak list (λ = 1.5418 Å (Cu Kα)), based on a structure optimized by DFT (PBE).

Cell and atoms:
Cell lengths 7.1778, 7.1778, 13.4519 Å; angles 90.00, 90.00, 120.00 degrees
Space group P-31c (No. 163)
Symmetry-distinct sites (fractional):
Na1 0.0000 0.0000 0.0000 [2 per cell]
Li1 0.3333 0.6667 0.2500 [2 per cell]
Th1 0.3333 0.6667 0.7500 [2 per cell]
Br1 0.0059 0.3546 0.1307 [12 per cell]

Main lines, by angle (5 to 70 degrees two-theta):
6.726 Å, rel. 26, hkl 0 0 2
5.643 Å, rel. 60, hkl 1 0 1
4.565 Å, rel. 23, hkl 1 0 2
3.637 Å, rel. 25, hkl 1 0 3
3.166 Å, rel. 100, hkl 1 1 2
2.454 Å, rel. 58, hkl 1 1 4
2.072 Å, rel. 37, hkl 3 0 0
1.901 Å, rel. 25, hkl 2 -1 6